Simulated powder diffraction line list of Y5Co19P12 for Cu Kα, from the GGA-PBE geometry in Alexandria.

Crystal structure
Unit cell a=11.9946 b=11.9946 c=3.6765 alpha=90.00 beta=90.00 gamma=120.00
Atoms (fractional coordinates):
Y1 0.0000 0.1875 0.0000
Y2 0.1875 0.0000 0.0000
Y3 0.3333 0.6667 0.5000
Y4 0.6667 0.3333 0.5000
Y5 0.8125 0.8125 0.0000
Co1 0.0000 0.0000 0.5000
Co2 0.0000 0.5529 0.5000
Co3 0.0000 0.7146 0.0000
Co4 0.1251 0.4841 0.0000
Co5 0.1781 0.8002 0.5000
Co6 0.1998 0.3780 0.5000
Co7 0.2854 0.2854 0.0000
Co8 0.3590 0.8749 0.0000
Co9 0.3780 0.1998 0.5000
Co10 0.4471 0.4471 0.5000
Co11 0.4841 0.1251 0.0000
Co12 0.5159 0.6410 0.0000
Co13 0.5529 0.0000 0.5000
Co14 0.6220 0.8219 0.5000
Co15 0.6410 0.5159 0.0000
Co16 0.7146 0.0000 0.0000
Co17 0.8002 0.1781 0.5000
Co18 0.8219 0.6220 0.5000
Co19 0.8749 0.3590 0.0000
P1 0.0000 0.3689 0.5000
P2 0.0000 0.8191 0.5000
P3 0.1659 0.6863 0.0000
P4 0.1809 0.1809 0.5000
P5 0.3137 0.4796 0.0000
P6 0.3689 0.0000 0.5000
P7 0.4796 0.3137 0.0000
P8 0.5204 0.8341 0.0000
P9 0.6311 0.6311 0.5000
P10 0.6863 0.1659 0.0000
P11 0.8191 0.0000 0.5000
P12 0.8341 0.5204 0.0000

Peak list (6 most intense, 10 to 90 degrees two-theta, low angle first)
2theta	I (rel.)	h k l
38.75	100	2 2 1
39.76	40	4 1 0
49.59	24	0 0 2
52.88	18	6 0 0
75.42	12	6 0 2
85.65	14	2 2 3